# 1
FeBiSbS4: theoretical powder X-ray diffraction pattern (Cu Ka), based on DFT lattice parameters and positions (PBE).
No peak broadening, texture or thermal motion is included.

Atomic structure:
a b c (Å): 11.504 3.671 13.871
angles (deg): 90.00 90.00 90.00
Sites, in units of the cell vectors:
Fe1 0.169 0.250 0.157
Fe2 0.331 0.750 0.657
Fe3 0.669 0.250 0.343
Fe4 0.831 0.750 0.843
Bi1 0.028 0.250 0.611
Bi2 0.472 0.750 0.111
Bi3 0.528 0.250 0.889
Bi4 0.972 0.750 0.389
Sb1 0.148 0.750 0.922
Sb2 0.352 0.250 0.422
Sb3 0.648 0.750 0.578
Sb4 0.852 0.250 0.078
S1 0.062 0.750 0.097
S2 0.105 0.250 0.306
S3 0.220 0.250 0.713
S4 0.236 0.750 0.513
S5 0.264 0.250 0.013
S6 0.280 0.750 0.213
S7 0.395 0.750 0.806
S8 0.438 0.250 0.597
S9 0.562 0.750 0.403
S10 0.605 0.250 0.194
S11 0.720 0.250 0.787
S12 0.736 0.750 0.987
S13 0.764 0.250 0.487
S14 0.780 0.750 0.287
S15 0.895 0.750 0.694
S16 0.938 0.250 0.903

Largest 10 diffraction maxima, in order of rising 2θ, 15° ≤ 2θ ≤ 90°:
- 2θ = 24.08°, I = 76
- 2θ = 24.70°, I = 29
- 2θ = 25.69°, I = 34
- 2θ = 28.59°, I = 100
- 2θ = 29.58°, I = 33
- 2θ = 30.09°, I = 35
- 2θ = 34.43°, I = 34
- 2θ = 34.89°, I = 74
- 2θ = 40.12°, I = 25
- 2θ = 40.37°, I = 33

# 2
Nd4Y4Ho: theoretical powder X-ray diffraction pattern (Cu Ka), based on DFT lattice parameters and positions (PBE).
No peak broadening, texture or thermal motion is included.

Atomic structure:
a b c (Å): 8.088 8.088 8.088
angles (deg): 95.73 95.73 143.16
Sites, in units of the cell vectors:
Nd1 0.000 0.332 0.332
Nd2 0.000 0.668 0.668
Nd3 0.332 0.000 0.332
Nd4 0.668 0.000 0.668
Y1 0.334 0.334 0.669
Y2 0.334 0.666 0.000
Y3 0.666 0.334 0.000
Y4 0.666 0.666 0.331
Ho1 0.000 0.000 0.000

Largest 10 diffraction maxima, in order of rising 2θ, 15° ≤ 2θ ≤ 90°:
- 2θ = 16.34°, I = 3
- 2θ = 19.19°, I = 4
- 2θ = 30.27°, I = 100
- 2θ = 35.09°, I = 50
- 2θ = 50.47°, I = 36
- 2θ = 59.99°, I = 42
- 2θ = 62.95°, I = 12
- 2θ = 74.16°, I = 6
- 2θ = 82.15°, I = 17
- 2θ = 84.77°, I = 16

# 3
Sm7Te2Os2: theoretical powder X-ray diffraction pattern (Cu Ka), based on DFT lattice parameters and positions (PBE).
No peak broadening, texture or thermal motion is included.

Atomic structure:
a b c (Å): 9.622 9.622 9.622
angles (deg): 155.66 65.09 120.67
Sites, in units of the cell vectors:
Sm1 0.000 0.000 0.000
Sm2 0.062 0.378 0.683
Sm3 0.090 0.741 0.348
Sm4 0.393 0.741 0.652
Sm5 0.453 0.585 0.869
Sm6 0.695 0.378 0.317
Sm7 0.716 0.585 0.131
Te1 0.332 0.332 0.000
Te2 0.738 0.238 0.500
Os1 0.311 0.070 0.241
Os2 0.829 0.070 0.759

Largest 10 diffraction maxima, in order of rising 2θ, 15° ≤ 2θ ≤ 90°:
- 2θ = 29.08°, I = 16
- 2θ = 29.44°, I = 33
- 2θ = 32.60°, I = 100
- 2θ = 32.71°, I = 41
- 2θ = 33.41°, I = 39
- 2θ = 35.91°, I = 20
- 2θ = 37.64°, I = 31
- 2θ = 44.67°, I = 33
- 2θ = 56.45°, I = 17
- 2θ = 60.24°, I = 16

# 4
SbPb: theoretical powder X-ray diffraction pattern (Cu Ka), based on DFT lattice parameters and positions (PBE).
No peak broadening, texture or thermal motion is included.

Atomic structure:
a b c (Å): 6.556 6.556 8.519
angles (deg): 109.00 109.00 31.72
Sites, in units of the cell vectors:
Sb1 0.000 0.000 0.000
Sb2 0.020 0.020 0.618
Sb3 0.668 0.668 0.308
Pb1 0.305 0.305 0.645
Pb2 0.404 0.404 0.280
Pb3 0.705 0.705 0.937

Largest 10 diffraction maxima, in order of rising 2θ, 15° ≤ 2θ ≤ 90°:
- 2θ = 29.31°, I = 61
- 2θ = 30.84°, I = 85
- 2θ = 32.66°, I = 100
- 2θ = 33.54°, I = 60
- 2θ = 33.75°, I = 89
- 2θ = 35.64°, I = 40
- 2θ = 42.17°, I = 24
- 2θ = 53.92°, I = 31
- 2θ = 60.77°, I = 25
- 2θ = 61.39°, I = 23

# 5
YOs2Rh: theoretical powder X-ray diffraction pattern (Cu Ka), based on DFT lattice parameters and positions (PBE).
No peak broadening, texture or thermal motion is included.

Atomic structure:
a b c (Å): 2.903 4.359 5.501
angles (deg): 90.00 102.90 90.00
Sites, in units of the cell vectors:
Y1 0.000 0.000 0.000
Os1 0.326 0.000 0.505
Os2 0.727 0.500 0.367
Rh1 0.423 0.500 0.799

Largest 10 diffraction maxima, in order of rising 2θ, 15° ≤ 2θ ≤ 90°:
- 2θ = 16.53°, I = 70
- 2θ = 33.42°, I = 31
- 2θ = 37.91°, I = 56
- 2θ = 38.49°, I = 96
- 2θ = 39.17°, I = 31
- 2θ = 39.46°, I = 100
- 2θ = 41.43°, I = 66
- 2θ = 44.54°, I = 46
- 2θ = 46.08°, I = 37
- 2θ = 54.24°, I = 26

# 6
Ni4Pd5: theoretical powder X-ray diffraction pattern (Cu Ka), based on DFT lattice parameters and positions (PBE).
No peak broadening, texture or thermal motion is included.

Atomic structure:
a b c (Å): 6.995 6.995 6.995
angles (deg): 157.60 108.67 75.84
Sites, in units of the cell vectors:
Ni1 0.005 0.832 0.174
Ni2 0.342 0.168 0.174
Ni3 0.658 0.832 0.826
Ni4 0.995 0.168 0.826
Pd1 0.000 0.500 0.500
Pd2 0.319 0.819 0.500
Pd3 0.330 0.500 0.830
Pd4 0.670 0.500 0.170
Pd5 0.681 0.181 0.500

Largest 10 diffraction maxima, in order of rising 2θ, 15° ≤ 2θ ≤ 90°:
- 2θ = 32.45°, I = 2
- 2θ = 33.97°, I = 3
- 2θ = 41.30°, I = 100
- 2θ = 47.29°, I = 34
- 2θ = 49.56°, I = 14
- 2θ = 69.11°, I = 10
- 2θ = 70.92°, I = 18
- 2θ = 83.81°, I = 24
- 2θ = 87.21°, I = 9
- 2θ = 89.70°, I = 10

# 7
TlP2AuS8: theoretical powder X-ray diffraction pattern (Cu Ka), based on DFT lattice parameters and positions (PBE).
No peak broadening, texture or thermal motion is included.

Atomic structure:
a b c (Å): 10.065 10.065 10.065
angles (deg): 33.92 33.92 33.92
Sites, in units of the cell vectors:
Tl1 0.000 0.000 0.000
P1 0.241 0.241 0.241
P2 0.759 0.759 0.759
Au1 0.500 0.500 0.500
S1 0.114 0.434 0.788
S2 0.212 0.886 0.566
S3 0.312 0.312 0.312
S4 0.434 0.788 0.114
S5 0.566 0.212 0.886
S6 0.688 0.688 0.688
S7 0.788 0.114 0.434
S8 0.886 0.566 0.212

Largest 10 diffraction maxima, in order of rising 2θ, 15° ≤ 2θ ≤ 90°:
- 2θ = 18.53°, I = 53
- 2θ = 21.49°, I = 100
- 2θ = 30.45°, I = 38
- 2θ = 30.69°, I = 31
- 2θ = 35.99°, I = 56
- 2θ = 36.20°, I = 21
- 2θ = 37.57°, I = 26
- 2θ = 49.11°, I = 24
- 2θ = 49.43°, I = 28
- 2θ = 54.11°, I = 20

# 8
NpAlO2: theoretical powder X-ray diffraction pattern (Cu Ka), based on DFT lattice parameters and positions (PBE).
No peak broadening, texture or thermal motion is included.

Atomic structure:
a b c (Å): 6.926 6.926 6.926
angles (deg): 24.37 24.37 24.37
Sites, in units of the cell vectors:
Np1 0.000 0.000 0.000
Al1 0.500 0.500 0.500
O1 0.118 0.118 0.118
O2 0.882 0.882 0.882

Largest 10 diffraction maxima, in order of rising 2θ, 15° ≤ 2θ ≤ 90°:
- 2θ = 26.54°, I = 70
- 2θ = 35.74°, I = 82
- 2θ = 36.59°, I = 100
- 2θ = 39.85°, I = 60
- 2θ = 42.15°, I = 32
- 2θ = 47.84°, I = 34
- 2θ = 51.15°, I = 47
- 2θ = 58.54°, I = 28
- 2θ = 63.65°, I = 24
- 2θ = 70.22°, I = 29

# 9
Tb3Al2Ag4: theoretical powder X-ray diffraction pattern (Cu Ka), based on DFT lattice parameters and positions (PBE).
No peak broadening, texture or thermal motion is included.

Atomic structure:
a b c (Å): 5.888 5.888 8.820
angles (deg): 113.75 113.75 46.51
Sites, in units of the cell vectors:
Tb1 0.000 0.000 0.000
Tb2 0.348 0.348 0.320
Tb3 0.652 0.652 0.680
Al1 0.363 0.363 0.693
Al2 0.637 0.637 0.307
Ag1 0.083 0.083 0.408
Ag2 0.286 0.286 0.938
Ag3 0.714 0.714 0.062
Ag4 0.917 0.917 0.592

Largest 10 diffraction maxima, in order of rising 2θ, 15° ≤ 2θ ≤ 90°:
- 2θ = 31.40°, I = 23
- 2θ = 33.48°, I = 32
- 2θ = 33.71°, I = 54
- 2θ = 33.93°, I = 100
- 2θ = 38.44°, I = 76
- 2θ = 38.74°, I = 42
- 2θ = 52.08°, I = 32
- 2θ = 52.43°, I = 17
- 2θ = 66.74°, I = 17
- 2θ = 66.92°, I = 29

# 10
NdRhO: theoretical powder X-ray diffraction pattern (Cu Ka), based on DFT lattice parameters and positions (PBE).
No peak broadening, texture or thermal motion is included.

Atomic structure:
a b c (Å): 4.915 4.915 4.179
angles (deg): 90.00 90.00 90.00
Sites, in units of the cell vectors:
Nd1 0.250 0.250 0.006
Nd2 0.750 0.750 0.994
Rh1 0.250 0.750 0.500
Rh2 0.750 0.250 0.500
O1 0.250 0.750 0.000
O2 0.750 0.250 0.000

Largest 10 diffraction maxima, in order of rising 2θ, 15° ≤ 2θ ≤ 90°:
- 2θ = 33.54°, I = 100
- 2θ = 36.56°, I = 52
- 2θ = 43.31°, I = 16
- 2θ = 52.67°, I = 18
- 2θ = 57.93°, I = 26
- 2θ = 63.90°, I = 32
- 2θ = 70.48°, I = 14
- 2θ = 73.21°, I = 11
- 2θ = 87.35°, I = 7
- 2θ = 89.09°, I = 8